[1]
Computed X-ray powder pattern of VOsS for a wavelength of 1.5418 Å, from a structure optimized by DFT (GGA-PBE).
Kinematic intensities with the Lorentz-polarization factor, no thermal factor.

Most intense lines, 5 to 70 degrees two-theta, by angle:
11.1°, I 100, (2 0 0); 22.2°, I 9, (4 0 0); 35.2°, I 8, (5 1 0); 38.1°, I 17, (1 1 1); 41.4°, I 28, (3 1 -1); 43.0°, I 11, (0 2 0); 45.1°, I 11, (7 1 0); 47.5°, I 17, (5 1 1)

Atomic structure:
Cell lengths 16.009, 4.204, 2.907 Å; angles 90.00, 90.12, 90.00 degrees
Space group Cm (No. 8)
Inequivalent atoms, fractional coordinates:
V1 0.000 0.000 0.000 x2
V2 0.241 0.500 0.496 x2
Os1 0.099 0.500 0.002 x2
Os2 0.145 0.000 0.502 x2
S1 0.348 0.500 0.998 x2
S2 0.481 0.000 0.499 x2


[2]
Computed X-ray powder pattern of RbTiAg2F8 for a wavelength of 1.5418 Å, from a structure optimized by DFT (GGA-PBE).
Kinematic intensities with the Lorentz-polarization factor, no thermal factor.

Most intense lines, 5 to 70 degrees two-theta, by angle:
24.1°, I 93, (1 -1 0); 24.9°, I 100, (1 1 0); 27.2°, I 66, (0 1 -2); 28.5°, I 35, (1 0 -2); 30.2°, I 51, (0 1 2); 30.7°, I 28, (1 0 2); 37.5°, I 30, (2 0 -1); 43.4°, I 34, (1 -2 2)

Atomic structure:
Cell lengths 4.938, 5.418, 7.687 Å; angles 96.15, 94.11, 91.42 degrees
Space group P-1 (No. 2)
Inequivalent atoms, fractional coordinates:
Rb1 0.000 0.000 0.000 x1
Ti1 0.000 0.000 0.500 x1
Ag1 0.436 0.484 0.763 x2
F1 0.139 0.796 0.316 x2
F2 0.179 0.815 0.668 x2
F3 0.303 0.232 0.515 x2
F4 0.487 0.266 0.995 x2


[3]
Computed X-ray powder pattern of NaTlHg2Pb for a wavelength of 1.5418 Å, from a structure optimized by DFT (GGA-PBE).
Kinematic intensities with the Lorentz-polarization factor, no thermal factor.

Most intense lines, 5 to 70 degrees two-theta, by angle:
13.2°, I 31, (0 0 1); 20.0°, I 20, (1 0 0); 24.1°, I 50, (0 1 1); 33.6°, I 100, (0 1 2); 35.1°, I 92, (1 1 0); 49.4°, I 35, (2 0 2); 59.1°, I 21, (1 0 4); 62.0°, I 35, (1 2 2)

Atomic structure:
Cell lengths 5.1140, 5.1140, 6.6834 Å; angles 90.00, 90.00, 120.00 degrees
Space group P3m1 (No. 156)
Inequivalent atoms, fractional coordinates:
Na1 0.0000 0.0000 0.0000 x1
Tl1 0.6667 0.3333 0.3254 x1
Hg1 0.0000 0.0000 0.5347 x1
Hg2 0.3333 0.6667 0.1532 x1
Pb1 0.3333 0.6667 0.6764 x1


[4]
Computed X-ray powder pattern of Ce8Ir2Ru3 for a wavelength of 1.5418 Å, from a structure optimized by DFT (GGA-PBE).
Kinematic intensities with the Lorentz-polarization factor, no thermal factor.

Most intense lines, 5 to 70 degrees two-theta, by angle:
14.4°, I 28, (0 0 1); 26.5°, I 21, (2 2 0); 31.5°, I 54, (4 0 -2); 32.5°, I 100, (2 2 1); 44.3°, I 34, (6 2 -1); 46.7°, I 33, (0 4 0); 47.5°, I 33, (2 2 -3); 57.4°, I 16, (4 4 -2)

Atomic structure:
Cell lengths 14.404, 7.781, 6.607 Å; angles 90.00, 111.23, 90.00 degrees
Space group C2/m (No. 12)
Inequivalent atoms, fractional coordinates:
Ce1 0.111 0.000 0.242 x4
Ce2 0.115 0.258 0.760 x8
Ce3 0.154 0.500 0.277 x4
Ir1 0.243 0.000 0.024 x4
Ru1 0.000 0.000 0.500 x2
Ru2 0.000 0.304 0.000 x4


[5]
Computed X-ray powder pattern of GaHgSeO6 for a wavelength of 1.5418 Å, from a structure optimized by DFT (GGA-PBE).
Kinematic intensities with the Lorentz-polarization factor, no thermal factor.

Most intense lines, 5 to 70 degrees two-theta, by angle:
20.1°, I 15, (1 0 0); 27.3°, I 100, (1 0 1); 35.3°, I 31, (1 1 0); 45.2°, I 24, (2 0 1); 52.1°, I 33, (1 1 2); 58.6°, I 24, (2 1 1); 61.0°, I 10, (1 0 3); 63.3°, I 10, (3 0 0)

Atomic structure:
Cell lengths 5.0919, 5.0919, 4.8521 Å; angles 90.00, 90.00, 120.00 degrees
Space group P312 (No. 149)
Inequivalent atoms, fractional coordinates:
Ga1 0.0000 0.0000 0.0000 x1
Hg1 0.6667 0.3333 0.5000 x1
Se1 0.3333 0.6667 0.0000 x1
O1 0.0522 0.3560 0.7874 x6


[6]
Computed X-ray powder pattern of ZnFe2As8 for a wavelength of 1.5418 Å, from a structure optimized by DFT (GGA-PBE).
Kinematic intensities with the Lorentz-polarization factor, no thermal factor.

Most intense lines, 5 to 70 degrees two-theta, by angle:
22.7°, I 46, (0 0 2); 24.1°, I 28, (0 2 -1); 26.6°, I 49, (1 -1 1); 29.6°, I 100, (1 1 -2); 30.1°, I 48, (0 1 2); 35.7°, I 30, (1 -2 2); 45.3°, I 23, (2 0 -1); 46.4°, I 58, (1 0 3)

Atomic structure:
Cell lengths 4.049, 7.508, 8.600 Å; angles 109.61, 100.28, 98.89 degrees
Space group P-1 (No. 2)
Inequivalent atoms, fractional coordinates:
Zn1 0.000 0.000 0.000 x1
Fe1 0.206 0.638 0.295 x2
As1 0.148 0.320 0.267 x2
As2 0.320 0.770 0.583 x2
As3 0.346 0.398 0.838 x2
As4 0.396 0.890 0.197 x2


[7]
Computed X-ray powder pattern of K2PH3SeO8 for a wavelength of 1.5418 Å, from a structure optimized by DFT (GGA-PBE).
Kinematic intensities with the Lorentz-polarization factor, no thermal factor.

Most intense lines, 5 to 70 degrees two-theta, by angle:
19.4°, I 28, (1 1 0); 23.4°, I 100, (0 0 2); 26.2°, I 34, (0 2 1); 27.1°, I 71, (2 1 -2); 27.9°, I 22, (2 1 -1); 33.4°, I 50, (2 1 0); 38.7°, I 19, (2 1 -4); 44.0°, I 28, (2 3 -1)

Atomic structure:
Cell lengths 7.396, 7.613, 9.778 Å; angles 90.00, 129.09, 90.00 degrees
Space group Pc (No. 7)
Inequivalent atoms, fractional coordinates:
K1 0.000 0.046 0.000 x2
K2 0.207 0.443 0.411 x2
P1 0.442 0.039 0.957 x2
H1 0.471 0.255 0.813 x2
H2 0.570 0.235 0.174 x2
H3 0.707 0.177 0.595 x2
Se1 0.746 0.453 0.446 x2
O1 0.248 0.090 0.377 x2
O2 0.420 0.199 0.049 x2
O3 0.441 0.122 0.807 x2
O4 0.484 0.453 0.795 x2
O5 0.693 0.040 0.601 x2
O6 0.750 0.368 0.608 x2
O7 0.784 0.287 0.352 x2
O8 0.960 0.403 0.033 x2


[8]
Computed X-ray powder pattern of AcFeH6Pd for a wavelength of 1.5418 Å, from a structure optimized by DFT (GGA-PBE).
Kinematic intensities with the Lorentz-polarization factor, no thermal factor.

Most intense lines, 5 to 70 degrees two-theta, by angle:
21.7°, I 21, (0 0 2); 29.4°, I 100, (1 1 1); 38.0°, I 40, (0 2 0); 39.8°, I 11, (2 0 0); 48.8°, I 25, (1 0 4); 56.2°, I 26, (2 2 0); 63.4°, I 23, (1 2 4); 66.0°, I 10, (3 1 1)

Atomic structure:
Cell lengths 4.528, 4.732, 8.207 Å; angles 90.00, 90.00, 90.00 degrees
Space group Amm2 (No. 38)
Inequivalent atoms, fractional coordinates:
Ac1 0.000 0.000 0.000 x2
Fe1 0.500 0.000 0.665 x2
H1 0.254 0.000 0.517 x4
H2 0.259 0.222 0.741 x8
Pd1 0.500 0.000 0.335 x2


[9]
Computed X-ray powder pattern of Ba2Sr3Nb10O30 for a wavelength of 1.5418 Å, from a structure optimized by DFT (GGA-PBE).
Kinematic intensities with the Lorentz-polarization factor, no thermal factor.

Most intense lines, 5 to 70 degrees two-theta, by angle:
21.8°, I 42, (0 1 0); 25.5°, I 47, (3 0 2); 26.9°, I 80, (2 1 -1); 27.0°, I 57, (2 1 1); 28.8°, I 39, (1 0 -4); 31.2°, I 72, (1 1 -3); 31.4°, I 100, (4 0 -2); 44.5°, I 59, (0 2 0)

Atomic structure:
Cell lengths 12.669, 4.068, 12.724 Å; angles 90.00, 90.98, 90.00 degrees
Space group P2 (No. 3)
Inequivalent atoms, fractional coordinates:
Ba1 0.150 0.000 0.309 x2
Sr1 0.000 0.997 0.000 x1
Sr2 0.365 0.010 0.788 x2
Nb1 0.000 0.514 0.500 x1
Nb2 0.086 0.506 0.790 x2
Nb3 0.213 0.505 0.076 x2
Nb4 0.294 0.514 0.567 x2
Nb5 0.426 0.519 0.294 x2
Nb6 0.500 0.520 0.000 x1
O1 0.000 0.969 0.500 x1
O2 0.001 0.467 0.656 x2
O3 0.072 0.969 0.799 x2
O4 0.074 0.459 0.150 x2
O5 0.125 0.467 0.941 x2
O6 0.157 0.456 0.492 x2
O7 0.202 0.968 0.080 x2
O8 0.223 0.473 0.729 x2
O9 0.285 0.471 0.220 x2
O10 0.289 0.967 0.587 x2
O11 0.342 0.460 0.994 x2
O12 0.361 0.481 0.433 x2
O13 0.425 0.459 0.652 x2
O14 0.431 0.975 0.289 x2
O15 0.494 0.474 0.844 x2
O16 0.500 0.974 0.000 x1


[10]
Computed X-ray powder pattern of CaErAs for a wavelength of 1.5418 Å, from a structure optimized by DFT (GGA-PBE).
Kinematic intensities with the Lorentz-polarization factor, no thermal factor.

Most intense lines, 5 to 70 degrees two-theta, by angle:
6.7°, I 100, (0 0 3); 26.8°, I 49, (1 0 4); 29.8°, I 70, (1 0 7); 35.6°, I 21, (0 1 11); 39.0°, I 18, (1 0 13); 44.5°, I 33, (1 1 0); 46.7°, I 15, (0 1 17); 52.7°, I 16, (0 2 4)

Atomic structure:
Cell lengths 4.0746, 4.0746, 39.6671 Å; angles 90.00, 90.00, 120.00 degrees
Space group R-3m (No. 166, hexagonal axes)
Inequivalent atoms, fractional coordinates:
Ca1 0.0000 0.0000 0.2101 x6
Er1 0.0000 0.0000 0.3737 x6
As1 0.0000 0.0000 0.0795 x6


[11]
Computed X-ray powder pattern of Ba2Cu5Pt5 for a wavelength of 1.5418 Å, from a structure optimized by DFT (GGA-PBE).
Kinematic intensities with the Lorentz-polarization factor, no thermal factor.

Most intense lines, 5 to 70 degrees two-theta, by angle:
28.4°, I 48, (1 1 1); 28.7°, I 59, (1 0 2); 37.2°, I 100, (0 2 2); 38.7°, I 73, (1 2 0); 39.3°, I 82, (1 1 3); 43.4°, I 79, (1 2 2); 43.8°, I 58, (2 0 0); 58.8°, I 56, (2 2 2)

Atomic structure:
Cell lengths 4.138, 5.621, 9.457 Å; angles 90.00, 90.00, 90.00 degrees
Space group Pmmm (No. 47)
Inequivalent atoms, fractional coordinates:
Ba1 0.000 0.000 0.000 x1
Ba2 0.000 0.500 0.500 x1
Cu1 0.000 0.000 0.332 x2
Cu2 0.000 0.500 0.162 x2
Cu3 0.500 0.500 0.000 x1
Pt1 0.500 0.000 0.500 x1
Pt2 0.500 0.253 0.244 x4


[12]
Computed X-ray powder pattern of Rb2Ba8LiSb6O2 for a wavelength of 1.5418 Å, from a structure optimized by DFT (GGA-PBE).
Kinematic intensities with the Lorentz-polarization factor, no thermal factor.

Most intense lines, 5 to 70 degrees two-theta, by angle:
26.1°, I 54, (-1 2 1); 26.5°, I 52, (-2 1 2); 26.7°, I 100, (2 -1 1); 27.4°, I 47, (2 1 0); 27.7°, I 94, (1 2 -3); 29.6°, I 50, (1 -3 1); 30.1°, I 41, (-3 1 1); 31.4°, I 38, (3 1 -2)

Atomic structure:
Cell lengths 9.196, 9.383, 10.265 Å; angles 113.86, 114.43, 94.09 degrees
Space group P1 (No. 1)
Inequivalent atoms, fractional coordinates:
Rb1 0.000 0.000 0.000 x1
Rb2 0.481 0.469 0.973 x1
Ba1 0.186 0.698 0.696 x1
Ba2 0.293 0.513 0.309 x1
Ba3 0.498 0.008 0.698 x1
Ba4 0.502 0.911 0.270 x1
Ba5 0.687 0.512 0.702 x1
Ba6 0.795 0.289 0.287 x1
Ba7 0.970 0.185 0.672 x1
Ba8 0.993 0.803 0.296 x1
Li1 0.472 0.230 0.347 x1
Sb1 0.104 0.600 0.981 x1
Sb2 0.244 0.248 0.487 x1
Sb3 0.373 0.115 0.006 x1
Sb4 0.625 0.856 0.989 x1
Sb5 0.748 0.735 0.494 x1
Sb6 0.877 0.378 0.993 x1
O1 0.245 0.758 0.496 x1
O2 0.697 0.224 0.468 x1